# PtC8S4F12
Computed X-ray powder pattern, CuKα. Input: a GGA-PBE-relaxed structure.
Intensities are scaled so that the largest is 100.

Largest 10 diffraction maxima, in order of rising 2θ, 2θ from 10° to 80°:
d = 8.550 Å, 10.35 deg, I 100; d = 7.768 Å, 11.39 deg, I 39; d = 4.621 Å, 19.21 deg, I 24; d = 4.590 Å, 19.34 deg, I 38; d = 4.275 Å, 20.78 deg, I 32; d = 4.098 Å, 21.69 deg, I 28; d = 3.991 Å, 22.28 deg, I 72; d = 3.894 Å, 22.84 deg, I 40; d = 3.550 Å, 25.09 deg, I 26; d = 2.498 Å, 35.96 deg, I 25

Structure:
```
50
Lattice="4.9547 0.0000 0.0000 0.0000 15.5354 0.0000 -2.3747 0.0000 10.2404" Properties=species:S:1:pos:R:3 pbc="T T T"
Pt 0.0000 0.0000 0.0000
Pt -1.1874 7.7677 5.1202
C -0.0091 1.2241 6.6092
C 1.1783 6.5436 1.4890
C 0.0774 10.1303 6.8362
C 1.2648 13.1728 1.7160
C 0.3798 11.5621 7.2713
C 1.5672 11.7410 2.1511
C 0.5443 8.9883 7.4902
C 1.7316 14.3148 2.3699
C 0.8483 1.2206 7.8705
C 2.0357 6.5471 2.7503
C 1.0128 3.7944 8.0894
C 2.2002 3.9733 2.9691
C 1.3152 2.3626 8.5245
C 2.5026 5.4051 3.4043
C 1.4017 8.9918 8.7514
C 2.5890 14.3113 3.6312
S -0.8978 9.9904 5.4497
S 0.2895 13.3127 0.3295
S 1.3123 0.3294 1.8103
S 0.1249 7.4383 6.9305
S 2.4550 8.0971 3.3099
S 1.2677 15.2060 8.4302
S 2.2904 2.2227 9.9109
S 3.4778 5.5450 4.7907
F -0.9788 2.1826 6.6414
F 0.2086 5.5851 1.5212
F -0.6457 0.0320 6.4478
F 0.5417 7.7357 1.3276
F 0.7425 10.8474 1.5462
F -0.4449 12.4557 6.6664
F 0.9230 3.6052 3.2788
F -0.2643 4.1625 8.3990
F 0.7464 1.4356 5.4954
F 1.9337 6.3321 0.3752
F 1.4055 11.5783 3.4981
F 0.2182 11.7248 8.6183
F 2.3618 3.8106 1.6221
F 1.1745 3.9571 6.7424
F 0.6462 9.2033 9.8652
F 1.8336 14.0998 4.7450
F 2.8443 11.3729 1.8414
F 1.6570 11.9302 6.9616
F 3.0249 3.0797 3.5741
F 1.8375 4.6880 8.6943
F 2.0383 7.7997 8.9128
F 3.2256 15.5034 3.7926
F 2.3714 9.9503 8.7192
F 3.5588 13.3528 3.5990
```